[1]
Starting from a crystal structure in Alexandria, relaxed with GGA-PBE, the XRD peak list of SmTePd6 was computed for a wavelength of 1.5418 Å.
Peak positions follow from Bragg's law for the DFT cell and can differ from measured ones.

Cell and atoms:
a b c (Å): 4.137 4.137 8.229
angles (deg): 90.00 90.00 90.00
Space group P4/mmm (No. 123)
Asymmetric unit:
Sm1 0.000 0.000 0.000 x1
Te1 0.000 0.000 0.500 x1
Pd1 0.000 0.500 0.257 x4
Pd2 0.500 0.500 0.000 x1
Pd3 0.500 0.500 0.500 x1

Main lines, by angle (15° ≤ 2θ ≤ 90°):
(1 0 0), 21.48 deg, 4.137 Å, intensity 1
(1 1 0), 30.62 deg, 2.920 Å, intensity 1
(1 1 2), 37.73 deg, 2.384 Å, intensity 100
(2 0 0), 43.77 deg, 2.068 Å, intensity 33
(0 0 4), 44.02 deg, 2.057 Å, intensity 16
(2 2 0), 63.62 deg, 1.463 Å, intensity 11
(2 0 4), 63.81 deg, 1.459 Å, intensity 21
(3 1 2), 76.40 deg, 1.247 Å, intensity 25
(1 1 6), 76.75 deg, 1.242 Å, intensity 12
(2 2 4), 80.59 deg, 1.192 Å, intensity 11



[2]
Starting from a crystal structure in Alexandria, relaxed with GGA-PBE, the XRD peak list of SmTe2Pd9 was computed for a wavelength of 1.5418 Å.
Peak positions follow from Bragg's law for the DFT cell and can differ from measured ones.

Cell and atoms:
a b c (Å): 4.149 4.149 12.162
angles (deg): 90.00 90.00 90.00
Space group P4/mmm (No. 123)
Asymmetric unit:
Sm1 0.000 0.000 0.000 x1
Te1 0.000 0.000 0.335 x2
Pd1 0.000 0.500 0.173 x4
Pd2 0.000 0.500 0.500 x2
Pd3 0.500 0.500 0.000 x1
Pd4 0.500 0.500 0.340 x2

Main lines, by angle (15° ≤ 2θ ≤ 90°):
(1 0 0), 21.42 deg, 4.149 Å, intensity 1
(1 1 3), 37.85 deg, 2.377 Å, intensity 100
(2 0 0), 43.63 deg, 2.075 Å, intensity 34
(0 0 6), 44.71 deg, 2.027 Å, intensity 15
(2 2 0), 63.41 deg, 1.467 Å, intensity 11
(2 0 6), 64.25 deg, 1.450 Å, intensity 20
(3 1 3), 76.28 deg, 1.248 Å, intensity 25
(1 1 9), 77.82 deg, 1.227 Å, intensity 11
(2 2 6), 80.89 deg, 1.188 Å, intensity 10



[3]
Starting from a crystal structure in Alexandria, relaxed with GGA-PBE, the XRD peak list of Sm2ThPd2 was computed for a wavelength of 1.5418 Å.
Peak positions follow from Bragg's law for the DFT cell and can differ from measured ones.

Cell and atoms:
a b c (Å): 6.197 14.601 6.212
angles (deg): 90.00 90.00 90.00
Space group Cmcm (No. 63)
Asymmetric unit:
Sm1 0.000 0.081 0.250 x4
Sm2 0.000 0.285 0.750 x4
Th1 0.000 0.500 0.000 x4
Pd1 0.230 0.119 0.750 x8

Main lines, by angle (15° ≤ 2θ ≤ 90°):
(1 3 1), 27.37 deg, 3.259 Å, intensity 71
(2 0 0), 28.78 deg, 3.102 Å, intensity 47
(0 2 2), 31.31 deg, 2.857 Å, intensity 38
(1 1 2), 32.83 deg, 2.728 Å, intensity 84
(1 5 0), 33.94 deg, 2.642 Å, intensity 83
(2 2 1), 34.61 deg, 2.592 Å, intensity 100
(1 3 2), 37.28 deg, 2.412 Å, intensity 48
(2 4 0), 38.07 deg, 2.364 Å, intensity 92
(2 2 2), 43.06 deg, 2.101 Å, intensity 30
(3 3 1), 50.14 deg, 1.819 Å, intensity 37



[4]
Starting from a crystal structure in Alexandria, relaxed with GGA-PBE, the XRD peak list of SmThPd14 was computed for a wavelength of 1.5418 Å.
Peak positions follow from Bragg's law for the DFT cell and can differ from measured ones.

Cell and atoms:
a b c (Å): 5.869 5.869 7.878
angles (deg): 90.00 90.00 90.00
Space group P4/mmm (No. 123)
Asymmetric unit:
Sm1 0.000 0.000 0.000 x1
Th1 0.500 0.500 0.000 x1
Pd1 0.000 0.000 0.500 x1
Pd2 0.000 0.500 0.000 x2
Pd3 0.000 0.500 0.500 x2
Pd4 0.251 0.251 0.261 x8
Pd5 0.500 0.500 0.500 x1

Main lines, by angle (15° ≤ 2θ ≤ 90°):
(1 1 1), 24.24 deg, 3.672 Å, intensity 2
(2 0 1), 32.56 deg, 2.750 Å, intensity 2
(2 0 2), 38.25 deg, 2.353 Å, intensity 100
(2 2 0), 43.62 deg, 2.075 Å, intensity 35
(0 0 4), 46.09 deg, 1.969 Å, intensity 14
(4 0 0), 63.39 deg, 1.467 Å, intensity 11
(2 2 4), 65.32 deg, 1.428 Å, intensity 20
(4 2 2), 76.51 deg, 1.245 Å, intensity 26
(2 0 6), 80.07 deg, 1.198 Å, intensity 11
(4 0 4), 81.87 deg, 1.177 Å, intensity 10



[5]
Starting from a crystal structure in Alexandria, relaxed with GGA-PBE, the XRD peak list of SmTl6Pd12 was computed for a wavelength of 1.5418 Å.
Peak positions follow from Bragg's law for the DFT cell and can differ from measured ones.

Cell and atoms:
a b c (Å): 12.1641 12.1641 9.0518
angles (deg): 90.00 90.00 120.00
Space group R-3m (No. 166, hexagonal axes)
Asymmetric unit:
Sm1 0.0000 0.0000 0.0000 x3
Tl1 0.0584 0.5292 0.2429 x18
Pd1 0.0000 0.3866 0.5000 x18
Pd2 0.0790 0.1580 0.2714 x18

Main lines, by angle (15° ≤ 2θ ≤ 90°):
(2 1 1), 24.42 deg, 3.645 Å, intensity 53
(2 0 2), 25.96 deg, 3.433 Å, intensity 45
(1 3 1), 32.19 deg, 2.780 Å, intensity 40
(1 1 3), 33.14 deg, 2.703 Å, intensity 34
(3 2 1), 38.56 deg, 2.335 Å, intensity 100
(0 3 3), 39.37 deg, 2.288 Å, intensity 85
(2 3 2), 42.40 deg, 2.132 Å, intensity 65
(0 2 4), 43.53 deg, 2.079 Å, intensity 65
(5 0 2), 47.61 deg, 1.910 Å, intensity 49
(3 5 4), 75.93 deg, 1.253 Å, intensity 32



[6]
Starting from a crystal structure in Alexandria, relaxed with GGA-PBE, the XRD peak list of Sm5Tl2Pd2 was computed for a wavelength of 1.5418 Å.
Peak positions follow from Bragg's law for the DFT cell and can differ from measured ones.

Cell and atoms:
a b c (Å): 15.933 8.700 7.369
angles (deg): 90.00 90.00 90.00
Space group Cmce (No. 64)
Asymmetric unit:
Sm1 0.000 0.000 0.000 x4
Sm2 0.123 0.181 0.348 x16
Tl1 0.212 0.000 0.000 x8
Pd1 0.000 0.119 0.635 x8

Main lines, by angle (15° ≤ 2θ ≤ 90°):
(4 2 0), 30.43 deg, 2.938 Å, intensity 100
(3 1 2), 31.28 deg, 2.859 Å, intensity 75
(0 2 2), 31.83 deg, 2.812 Å, intensity 66
(5 1 1), 32.29 deg, 2.772 Å, intensity 76
(4 2 1), 32.82 deg, 2.729 Å, intensity 76
(4 0 2), 33.12 deg, 2.705 Å, intensity 40
(1 3 1), 33.69 deg, 2.660 Å, intensity 86
(1 1 3), 38.50 deg, 2.338 Å, intensity 52
(5 1 2), 38.77 deg, 2.323 Å, intensity 47
(5 3 3), 57.01 deg, 1.615 Å, intensity 40



[7]
Starting from a crystal structure in Alexandria, relaxed with GGA-PBE, the XRD peak list of Sm6TlPd was computed for a wavelength of 1.5418 Å.
Peak positions follow from Bragg's law for the DFT cell and can differ from measured ones.

Cell and atoms:
a b c (Å): 7.083 11.952 6.920
angles (deg): 90.00 116.71 90.00
Space group C2/m (No. 12)
Asymmetric unit:
Sm1 0.220 0.204 0.243 x8
Sm2 0.232 0.000 0.776 x4
Tl1 0.000 0.500 0.500 x2
Pd1 0.000 0.000 0.000 x2

Main lines, by angle (15° ≤ 2θ ≤ 90°):
(1 1 1), 25.37 deg, 3.511 Å, intensity 29
(1 3 -1), 26.90 deg, 3.314 Å, intensity 32
(2 0 -2), 29.96 deg, 2.982 Å, intensity 100
(2 2 0), 32.01 deg, 2.796 Å, intensity 20
(0 2 2), 32.62 deg, 2.745 Å, intensity 22
(1 3 1), 33.17 deg, 2.700 Å, intensity 84
(2 4 -2), 42.87 deg, 2.109 Å, intensity 25
(3 3 -1), 44.87 deg, 2.020 Å, intensity 31
(1 3 -3), 45.78 deg, 1.982 Å, intensity 32
(1 7 1), 59.72 deg, 1.548 Å, intensity 18



[8]
Starting from a crystal structure in Alexandria, relaxed with GGA-PBE, the XRD peak list of SmTl4Pd15 was computed for a wavelength of 1.5418 Å.
Peak positions follow from Bragg's law for the DFT cell and can differ from measured ones.

Cell and atoms:
a b c (Å): 4.117 4.117 20.405
angles (deg): 90.00 90.00 90.00
Space group P4/mmm (No. 123)
Asymmetric unit:
Sm1 0.000 0.000 0.000 x1
Tl1 0.000 0.000 0.204 x2
Tl2 0.000 0.000 0.401 x2
Pd1 0.000 0.500 0.104 x4
Pd2 0.000 0.500 0.302 x4
Pd3 0.000 0.500 0.500 x2
Pd4 0.500 0.500 0.000 x1
Pd5 0.500 0.500 0.202 x2
Pd6 0.500 0.500 0.401 x2

Main lines, by angle (15° ≤ 2θ ≤ 90°):
(1 0 0), 21.59 deg, 4.117 Å, intensity 5
(1 0 5), 30.85 deg, 2.898 Å, intensity 4
(1 1 5), 37.97 deg, 2.370 Å, intensity 100
(2 0 0), 43.99 deg, 2.058 Å, intensity 33
(0 0 10), 44.40 deg, 2.040 Å, intensity 16
(2 2 0), 63.96 deg, 1.456 Å, intensity 11
(2 0 10), 64.28 deg, 1.449 Å, intensity 21
(3 1 5), 76.86 deg, 1.240 Å, intensity 25
(1 1 15), 77.44 deg, 1.232 Å, intensity 12
(2 2 10), 81.17 deg, 1.185 Å, intensity 11



[9]
Starting from a crystal structure in Alexandria, relaxed with GGA-PBE, the XRD peak list of Sm3Tm3Pd4 was computed for a wavelength of 1.5418 Å.
Peak positions follow from Bragg's law for the DFT cell and can differ from measured ones.

Cell and atoms:
a b c (Å): 4.005 11.155 10.917
angles (deg): 90.00 90.00 90.00
Space group Amm2 (No. 38)
Asymmetric unit:
Sm1 0.000 0.000 0.000 x2
Sm2 0.000 0.167 0.336 x4
Tm1 0.000 0.000 0.666 x2
Tm2 0.500 0.248 0.586 x4
Pd1 0.500 0.000 0.203 x2
Pd2 0.500 0.000 0.474 x2
Pd3 0.500 0.130 0.828 x4

Main lines, by angle (15° ≤ 2θ ≤ 90°):
(1 2 2), 32.04 deg, 2.794 Å, intensity 82
(1 3 1), 33.91 deg, 2.644 Å, intensity 96
(1 1 3), 34.25 deg, 2.618 Å, intensity 100
(0 4 2), 36.17 deg, 2.483 Å, intensity 54
(0 2 4), 36.66 deg, 2.451 Å, intensity 49
(2 0 0), 45.29 deg, 2.002 Å, intensity 35
(2 4 2), 59.28 deg, 1.559 Å, intensity 26
(2 2 4), 59.62 deg, 1.551 Å, intensity 24
(1 7 3), 68.40 deg, 1.371 Å, intensity 18
(1 3 7), 69.44 deg, 1.354 Å, intensity 13



[10]
Starting from a crystal structure in Alexandria, relaxed with GGA-PBE, the XRD peak list of SmTm2Pd3 was computed for a wavelength of 1.5418 Å.
Peak positions follow from Bragg's law for the DFT cell and can differ from measured ones.

Cell and atoms:
a b c (Å): 4.994 15.067 3.420
angles (deg): 90.00 90.00 90.00
Space group Cmmm (No. 65)
Asymmetric unit:
Sm1 0.000 0.000 0.000 x2
Tm1 0.000 0.333 0.000 x4
Pd1 0.000 0.175 0.500 x4
Pd2 0.000 0.500 0.500 x2

Main lines, by angle (15° ≤ 2θ ≤ 90°):
(0 6 0), 35.76 deg, 2.511 Å, intensity 26
(2 0 0), 35.97 deg, 2.497 Å, intensity 26
(1 3 1), 36.52 deg, 2.460 Å, intensity 100
(2 6 0), 51.62 deg, 1.771 Å, intensity 18
(0 0 2), 53.59 deg, 1.710 Å, intensity 9
(1 9 1), 64.75 deg, 1.440 Å, intensity 18
(3 3 1), 65.02 deg, 1.434 Å, intensity 18
(0 6 2), 66.10 deg, 1.413 Å, intensity 9
(2 0 2), 66.24 deg, 1.411 Å, intensity 9
(2 6 2), 77.62 deg, 1.230 Å, intensity 11



[11]
Starting from a crystal structure in Alexandria, relaxed with GGA-PBE, the XRD peak list of SmVPd was computed for a wavelength of 1.5418 Å.
Peak positions follow from Bragg's law for the DFT cell and can differ from measured ones.

Cell and atoms:
a b c (Å): 3.585 3.585 9.682
angles (deg): 90.00 90.00 90.00
Space group P4/mmm (No. 123)
Asymmetric unit:
Sm1 0.000 0.000 0.182 x2
V1 0.500 0.500 0.399 x2
Pd1 0.000 0.000 0.500 x1
Pd2 0.500 0.500 0.000 x1

Main lines, by angle (15° ≤ 2θ ≤ 90°):
(1 0 0), 24.83 deg, 3.585 Å, intensity 20
(0 0 3), 27.64 deg, 3.227 Å, intensity 13
(1 0 2), 31.04 deg, 2.881 Å, intensity 30
(1 1 0), 35.41 deg, 2.535 Å, intensity 78
(1 0 3), 37.49 deg, 2.399 Å, intensity 100
(1 1 3), 45.50 deg, 1.994 Å, intensity 13
(2 0 0), 50.94 deg, 1.793 Å, intensity 27
(1 1 5), 60.13 deg, 1.539 Å, intensity 11
(2 1 3), 64.94 deg, 1.436 Å, intensity 39
(3 1 0), 85.68 deg, 1.134 Å, intensity 12



[12]
Starting from a crystal structure in Alexandria, relaxed with GGA-PBE, the XRD peak list of SmYPd4 was computed for a wavelength of 1.5418 Å.
Peak positions follow from Bragg's law for the DFT cell and can differ from measured ones.

Cell and atoms:
a b c (Å): 4.227 19.586 5.815
angles (deg): 90.00 90.00 90.00
Space group Cmcm (No. 63)
Asymmetric unit:
Sm1 0.000 0.224 0.250 x4
Y1 0.000 0.077 0.750 x4
Pd1 0.000 0.073 0.250 x4
Pd2 0.000 0.354 0.510 x8
Pd3 0.000 0.500 0.000 x4

Main lines, by angle (15° ≤ 2θ ≤ 90°):
(1 1 1), 26.46 deg, 3.368 Å, intensity 25
(1 3 1), 29.49 deg, 3.029 Å, intensity 14
(1 1 2), 37.84 deg, 2.378 Å, intensity 96
(1 7 0), 38.59 deg, 2.333 Å, intensity 100
(0 6 2), 41.60 deg, 2.171 Å, intensity 53
(2 0 0), 42.79 deg, 2.114 Å, intensity 39
(2 6 2), 61.20 deg, 1.514 Å, intensity 33
(1 13 2), 74.38 deg, 1.275 Å, intensity 24
(3 7 0), 75.55 deg, 1.258 Å, intensity 13
(1 7 4), 77.33 deg, 1.234 Å, intensity 27



[13]
Starting from a crystal structure in Alexandria, relaxed with GGA-PBE, the XRD peak list of Sm2YPd3 was computed for a wavelength of 1.5418 Å.
Peak positions follow from Bragg's law for the DFT cell and can differ from measured ones.

Cell and atoms:
a b c (Å): 5.085 15.298 3.480
angles (deg): 90.00 90.00 90.00
Space group Pmmn (No. 59, origin choice 2)
Asymmetric unit:
Sm1 0.250 0.084 0.001 x4
Y1 0.250 0.750 0.999 x2
Pd1 0.250 0.250 0.501 x2
Pd2 0.250 0.588 0.499 x4

Main lines, by angle (15° ≤ 2θ ≤ 90°):
(2 0 0), 35.25 deg, 2.546 Å, intensity 52
(1 3 1), 35.89 deg, 2.502 Å, intensity 100
(2 6 0), 50.71 deg, 1.800 Å, intensity 18
(0 0 2), 52.61 deg, 1.740 Å, intensity 9
(1 9 1), 63.61 deg, 1.463 Å, intensity 18
(3 3 1), 63.74 deg, 1.460 Å, intensity 18
(2 0 2), 64.91 deg, 1.436 Å, intensity 17
(2 6 2), 76.08 deg, 1.251 Å, intensity 11
(3 9 1), 85.60 deg, 1.135 Å, intensity 8
(1 3 3), 88.58 deg, 1.104 Å, intensity 8